Entry 1:
This entry pairs a crystal structure of Cs2LaGaSe4 with its simulated powder XRD pattern. Radiation: Cu Kα (λ = 1.5418 Å). Structure: a DFT-relaxed cell (PBE, Alexandria).
Neutral-atom scattering factors, no anomalous dispersion.

Crystal structure
Unit cell a=9.036 b=9.036 c=9.103 alpha=113.92 beta=113.92 gamma=93.50
Atoms (fractional coordinates):
Cs1 0.000 0.000 0.000
Cs2 0.000 0.000 0.500
Cs3 0.000 0.500 0.000
Cs4 0.500 0.000 0.500
La1 0.500 0.500 0.000
La2 0.500 0.500 0.500
Ga1 0.000 0.500 0.500
Ga2 0.500 0.000 0.000
Se1 0.187 0.666 0.474
Se2 0.286 0.324 0.588
Se3 0.324 0.286 0.088
Se4 0.334 0.813 0.026
Se5 0.666 0.187 0.974
Se6 0.676 0.714 0.912
Se7 0.714 0.676 0.412
Se8 0.813 0.334 0.526

Peak list (10 most intense, 2θ = 10–90°, by angle)
two_theta  I/Imax
22.36  33
24.26  100
27.10  93
29.02  52
36.69  65
40.12  41
40.25  24
40.57  22
49.20  23
57.11  18

***

Entry 2:
This entry pairs a crystal structure of Cs3La3GaTe8 with its simulated powder XRD pattern. Radiation: Cu Kα (λ = 1.5418 Å). Structure: a DFT-relaxed cell (PBE, Alexandria).
Neutral-atom scattering factors, no anomalous dispersion.

Crystal structure
Unit cell a=9.201 b=9.201 c=10.567 alpha=115.25 beta=115.25 gamma=60.97
Atoms (fractional coordinates):
Cs1 0.000 0.000 0.000
Cs2 0.000 0.500 0.000
Cs3 0.500 0.000 0.000
La1 0.000 0.500 0.500
La2 0.500 0.000 0.500
La3 0.500 0.500 0.500
Ga1 0.000 0.000 0.500
Te1 0.199 0.199 0.673
Te2 0.223 0.742 0.688
Te3 0.258 0.777 0.312
Te4 0.266 0.266 0.301
Te5 0.734 0.734 0.699
Te6 0.742 0.223 0.688
Te7 0.777 0.258 0.312
Te8 0.801 0.801 0.327

Peak list (10 most intense, 2θ = 10–90°, by angle)
two_theta  I/Imax
25.68  100
25.86  42
27.40  11
31.89  20
34.23  26
34.61  16
38.58  19
39.18  37
47.03  16
52.78  9

***

Entry 3:
This entry pairs a crystal structure of Cs2Li3GaO4 with its simulated powder XRD pattern. Radiation: Cu Kα (λ = 1.5418 Å). Structure: a DFT-relaxed cell (PBE, Alexandria).
Neutral-atom scattering factors, no anomalous dispersion.

Crystal structure
Unit cell a=8.268 b=8.268 c=8.268 alpha=144.12 beta=104.42 gamma=86.60
Atoms (fractional coordinates):
Cs1 0.127 0.240 0.367
Cs2 0.373 0.740 0.112
Cs3 0.627 0.260 0.888
Cs4 0.873 0.760 0.633
Li1 0.010 0.250 0.760
Li2 0.250 0.250 0.000
Li3 0.490 0.250 0.240
Li4 0.510 0.750 0.760
Li5 0.750 0.750 0.000
Li6 0.990 0.750 0.240
Ga1 0.250 0.750 0.500
Ga2 0.750 0.250 0.500
O1 0.058 0.444 0.150
O2 0.206 0.056 0.614
O3 0.294 0.908 0.850
O4 0.442 0.592 0.386
O5 0.558 0.408 0.614
O6 0.706 0.092 0.150
O7 0.794 0.944 0.386
O8 0.942 0.556 0.850

Peak list (10 most intense, 2θ = 10–90°, by angle)
two_theta  I/Imax
14.72  27
25.89  96
29.69  35
33.49  100
38.38  31
38.56  31
45.36  18
50.84  24
58.71  15
59.99  19

***

Entry 4:
This entry pairs a crystal structure of CsMg6Ga with its simulated powder XRD pattern. Radiation: Cu Kα (λ = 1.5418 Å). Structure: a DFT-relaxed cell (PBE, Alexandria).
Neutral-atom scattering factors, no anomalous dispersion.

Crystal structure
Unit cell a=4.907 b=6.222 c=18.255 alpha=90.00 beta=90.00 gamma=90.00
Atoms (fractional coordinates):
Cs1 0.000 0.000 0.000
Cs2 0.000 0.500 0.500
Mg1 0.000 0.242 0.728
Mg2 0.000 0.258 0.228
Mg3 0.000 0.742 0.228
Mg4 0.000 0.758 0.728
Mg5 0.500 0.000 0.182
Mg6 0.500 0.000 0.676
Mg7 0.500 0.248 0.337
Mg8 0.500 0.252 0.837
Mg9 0.500 0.500 0.176
Mg10 0.500 0.500 0.682
Mg11 0.500 0.748 0.837
Mg12 0.500 0.752 0.337
Ga1 0.000 0.000 0.355
Ga2 0.000 0.500 0.855

Peak list (10 most intense, 2θ = 10–90°, by angle)
two_theta  I/Imax
15.04  50
18.08  37
20.41  100
20.55  40
23.60  36
27.40  95
29.35  37
33.82  34
35.56  69
36.63  35

***

Entry 5:
This entry pairs a crystal structure of Cs2Na4Ga with its simulated powder XRD pattern. Radiation: Cu Kα (λ = 1.5418 Å). Structure: a DFT-relaxed cell (PBE, Alexandria).
Neutral-atom scattering factors, no anomalous dispersion.

Crystal structure
Unit cell a=6.050 b=6.050 c=20.951 alpha=90.00 beta=90.00 gamma=90.00
Atoms (fractional coordinates):
Cs1 0.000 0.000 0.148
Cs2 0.000 0.000 0.852
Cs3 0.500 0.500 0.352
Cs4 0.500 0.500 0.648
Na1 0.000 0.000 0.360
Na2 0.000 0.000 0.640
Na3 0.000 0.500 0.000
Na4 0.000 0.500 0.500
Na5 0.500 0.000 0.000
Na6 0.500 0.000 0.500
Na7 0.500 0.500 0.140
Na8 0.500 0.500 0.860
Ga1 0.000 0.000 0.500
Ga2 0.500 0.500 0.000

Peak list (10 most intense, 2θ = 10–90°, by angle)
two_theta  I/Imax
19.41  100
20.76  63
25.51  21
26.91  34
29.53  44
33.11  22
35.58  43
39.41  26
42.25  16
47.52  14

***

Entry 6:
This entry pairs a crystal structure of Cs2NdGa2O6 with its simulated powder XRD pattern. Radiation: Cu Kα (λ = 1.5418 Å). Structure: a DFT-relaxed cell (PBE, Alexandria).
Neutral-atom scattering factors, no anomalous dispersion.

Crystal structure
Unit cell a=7.595 b=7.595 c=7.595 alpha=49.27 beta=49.27 gamma=49.27
Atoms (fractional coordinates):
Cs1 0.207 0.207 0.207
Cs2 0.793 0.793 0.793
Nd1 0.000 0.000 0.000
Ga1 0.406 0.406 0.406
Ga2 0.594 0.594 0.594
O1 0.244 0.244 0.733
O2 0.244 0.733 0.244
O3 0.267 0.756 0.756
O4 0.733 0.244 0.244
O5 0.756 0.267 0.756
O6 0.756 0.756 0.267

Peak list (10 most intense, 2θ = 10–90°, by angle)
two_theta  I/Imax
27.63  100
28.19  82
39.88  32
48.51  20
49.55  38
49.89  17
58.29  16
64.83  16
65.70  17
79.96  10

***

Entry 7:
This entry pairs a crystal structure of CsNdGaTe3 with its simulated powder XRD pattern. Radiation: Cu Kα (λ = 1.5418 Å). Structure: a DFT-relaxed cell (PBE, Alexandria).
Neutral-atom scattering factors, no anomalous dispersion.

Crystal structure
Unit cell a=10.089 b=4.954 c=10.842 alpha=90.00 beta=109.44 gamma=90.00
Atoms (fractional coordinates):
Cs1 0.208 0.250 0.244
Cs2 0.792 0.750 0.756
Nd1 0.333 0.750 0.863
Nd2 0.667 0.250 0.137
Ga1 0.103 0.250 0.596
Ga2 0.897 0.750 0.404
Te1 0.119 0.250 0.854
Te2 0.195 0.750 0.541
Te3 0.472 0.750 0.166
Te4 0.528 0.250 0.834
Te5 0.805 0.250 0.459
Te6 0.881 0.750 0.146

Peak list (10 most intense, 2θ = 10–90°, by angle)
two_theta  I/Imax
10.38  67
24.62  29
25.32  100
25.97  44
26.15  35
30.65  38
32.21  26
36.27  39
38.54  34
42.36  29

***

Entry 8:
This entry pairs a crystal structure of Cs3Np3GaSe8 with its simulated powder XRD pattern. Radiation: Cu Kα (λ = 1.5418 Å). Structure: a DFT-relaxed cell (PBE, Alexandria).
Neutral-atom scattering factors, no anomalous dispersion.

Crystal structure
Unit cell a=8.507 b=8.507 c=9.743 alpha=115.92 beta=115.92 gamma=59.82
Atoms (fractional coordinates):
Cs1 0.000 0.000 0.000
Cs2 0.000 0.500 0.000
Cs3 0.500 0.000 0.000
Np1 0.000 0.500 0.500
Np2 0.500 0.000 0.500
Np3 0.500 0.500 0.500
Ga1 0.000 0.000 0.500
Se1 0.225 0.726 0.674
Se2 0.226 0.226 0.674
Se3 0.271 0.271 0.314
Se4 0.274 0.775 0.326
Se5 0.726 0.225 0.674
Se6 0.729 0.729 0.686
Se7 0.774 0.774 0.326
Se8 0.775 0.274 0.326

Peak list (10 most intense, 2θ = 10–90°, by angle)
two_theta  I/Imax
10.51  47
13.93  15
21.12  14
25.21  13
28.07  100
34.83  18
37.55  31
42.51  25
42.64  14
43.48  14

***

Entry 9:
This entry pairs a crystal structure of Cs3GaO3 with its simulated powder XRD pattern. Radiation: Cu Kα (λ = 1.5418 Å). Structure: a DFT-relaxed cell (PBE, Alexandria).
Neutral-atom scattering factors, no anomalous dispersion.

Crystal structure
Unit cell a=9.192 b=9.192 c=11.432 alpha=90.00 beta=90.00 gamma=46.37
Atoms (fractional coordinates):
Cs1 0.007 0.354 0.869
Cs2 0.139 0.861 0.820
Cs3 0.146 0.493 0.631
Cs4 0.354 0.007 0.131
Cs5 0.361 0.639 0.320
Cs6 0.493 0.146 0.369
Cs7 0.507 0.854 0.631
Cs8 0.639 0.361 0.680
Cs9 0.646 0.993 0.869
Cs10 0.854 0.507 0.369
Cs11 0.861 0.139 0.180
Cs12 0.993 0.646 0.131
Ga1 0.081 0.081 0.500
Ga2 0.419 0.419 0.000
Ga3 0.581 0.581 0.000
Ga4 0.919 0.919 0.500
O1 0.044 0.240 0.621
O2 0.172 0.828 0.555
O3 0.240 0.044 0.379
O4 0.260 0.456 0.879
O5 0.328 0.672 0.055
O6 0.456 0.260 0.121
O7 0.544 0.740 0.879
O8 0.672 0.328 0.945
O9 0.740 0.544 0.121
O10 0.760 0.956 0.621
O11 0.828 0.172 0.445
O12 0.956 0.760 0.379

Peak list (10 most intense, 2θ = 10–90°, by angle)
two_theta  I/Imax
25.38  100
26.96  37
27.93  54
30.21  23
31.77  19
33.54  19
34.16  16
45.20  16
50.67  13
52.42  21

***

Entry 10:
This entry pairs a crystal structure of CsGa2OsO8 with its simulated powder XRD pattern. Radiation: Cu Kα (λ = 1.5418 Å). Structure: a DFT-relaxed cell (PBE, Alexandria).
Neutral-atom scattering factors, no anomalous dispersion.

Crystal structure
Unit cell a=4.698 b=4.703 c=7.625 alpha=88.15 beta=87.99 gamma=89.06
Atoms (fractional coordinates):
Cs1 0.000 0.000 0.000
Ga1 0.489 0.489 0.312
Ga2 0.511 0.511 0.688
Os1 0.000 0.000 0.500
O1 0.193 0.193 0.661
O2 0.205 0.202 0.314
O3 0.300 0.699 0.500
O4 0.425 0.426 0.932
O5 0.575 0.574 0.068
O6 0.700 0.301 0.500
O7 0.795 0.798 0.686
O8 0.807 0.807 0.339

Peak list (10 most intense, 2θ = 10–90°, by angle)
two_theta  I/Imax
11.62  52
18.89  35
23.36  26
26.63  76
27.05  100
29.70  85
30.71  65
38.32  44
48.30  32
49.47  24